For Ca2YAgO5, a structure optimized by DFT (GGA-PBE) gives the calculated XRD peak list in this record (copper Kα).
Neutral-atom scattering factors, no anomalous dispersion.

Top 8 peaks for 10 to 90 degrees two-theta, by intensity:
- 2θ 31.40, I 100.0
- 2θ 31.69, I 98.3
- 2θ 21.37, I 65.5
- 2θ 30.82, I 59.8
- 2θ 29.99, I 56.8
- 2θ 43.54, I 55.1
- 2θ 22.92, I 34.9
- 2θ 46.83, I 23.9

Atomic structure:
Cell lengths 8.7717, 8.7717, 5.8027 Å; angles 108.64, 108.64, 39.71 degrees
Fractional coordinates of all 18 atoms:
Ca (0.2216, 0.7784, 0.5000)
Ca (0.4883, 0.9347, 0.7160)
Ca (0.7784, 0.2216, 0.0000)
Ca (0.9347, 0.4883, 0.2160)
Y (0.1525, 0.5590, 0.8327)
Y (0.5590, 0.1525, 0.3327)
Ag (0.3563, 0.8550, 0.1442)
Ag (0.8550, 0.3563, 0.6442)
O (0.0954, 0.8335, 0.0830)
O (0.1311, 0.1483, 0.4285)
O (0.1483, 0.1311, 0.9285)
O (0.2092, 0.5008, 0.4529)
O (0.5008, 0.2092, 0.9529)
O (0.5529, 0.5875, 0.8456)
O (0.5875, 0.5529, 0.3456)
O (0.6126, 0.8795, 0.3642)
O (0.8335, 0.0954, 0.5830)
O (0.8795, 0.6126, 0.8642)


For RbH, a structure optimized by DFT (GGA-PBE) gives the calculated XRD peak list in this record (copper Kα).
Neutral-atom scattering factors, no anomalous dispersion.

Top 8 peaks for 10 to 90 degrees two-theta, by intensity:
- 2θ 25.56, I 100.0
- 2θ 29.59, I 55.6
- 2θ 50.12, I 46.5
- 2θ 42.35, I 40.4
- 2θ 67.65, I 19.0
- 2θ 69.65, I 18.0
- 2θ 83.14, I 14.7
- 2θ 52.51, I 14.1

Atomic structure:
Cell lengths 6.0370, 6.0370, 6.0370 Å; angles 90.00, 90.00, 90.00 degrees
Fractional coordinates of all 8 atoms:
Rb (0.0000, 0.0000, 0.0000)
Rb (0.0000, 0.5000, 0.5000)
Rb (0.5000, 0.0000, 0.5000)
Rb (0.5000, 0.5000, 0.0000)
H (0.0000, 0.0000, 0.5000)
H (0.0000, 0.5000, 0.0000)
H (0.5000, 0.0000, 0.0000)
H (0.5000, 0.5000, 0.5000)